1.
The following is a simulated powder diffractogram of Y8GaSe6. It was derived from the GGA-PBE geometry in Alexandria, using Cu Kα X-rays.
No peak broadening, texture or thermal motion is included.

Unit cell a=10.5269 b=10.5269 c=4.0474 alpha=90.00 beta=90.00 gamma=120.00
Fractional positions:
Y (0.0330, 0.3122, 0.2472)
Y (0.2792, 0.9670, 0.2472)
Y (0.3122, 0.2792, 0.7528)
Y (0.3333, 0.6667, 0.7525)
Y (0.6667, 0.3333, 0.2475)
Y (0.6878, 0.7208, 0.2472)
Y (0.7208, 0.0330, 0.7528)
Y (0.9670, 0.6878, 0.7528)
Ga (0.0000, 0.0000, 0.0000)
Se (0.1304, 0.6492, 0.2500)
Se (0.3508, 0.4812, 0.2500)
Se (0.4812, 0.1304, 0.7500)
Se (0.5188, 0.8696, 0.2500)
Se (0.6492, 0.5188, 0.7500)
Se (0.8696, 0.3508, 0.7500)

Top 10 peaks for 2θ from 10° to 90°, sorted by position:
2θ 27.8, I = 22; 2θ 29.4, I = 46; 2θ 29.5, I = 36; 2θ 34.2, I = 100; 2θ 35.5, I = 42; 2θ 40.9, I = 58; 2θ 44.8, I = 20; 2θ 49.0, I = 26; 2θ 61.0, I = 19; 2θ 76.9, I = 20


2.
The following is a simulated powder diffractogram of La6Tb8Tm. It was derived from the GGA-PBE geometry in Alexandria, using Cu Kα X-rays.
No peak broadening, texture or thermal motion is included.

Unit cell a=8.8318 b=8.8318 c=8.8318 alpha=62.58 beta=62.58 gamma=62.58
Fractional positions:
La (0.0355, 0.5936, 0.7338)
La (0.2662, 0.9645, 0.4064)
La (0.4064, 0.2662, 0.9645)
La (0.5936, 0.7338, 0.0355)
La (0.7338, 0.0355, 0.5936)
La (0.9645, 0.4064, 0.2662)
Tb (0.0772, 0.0772, 0.0772)
Tb (0.2090, 0.6139, 0.2609)
Tb (0.2609, 0.2090, 0.6139)
Tb (0.3861, 0.7391, 0.7910)
Tb (0.6139, 0.2609, 0.2090)
Tb (0.7391, 0.7910, 0.3861)
Tb (0.7910, 0.3861, 0.7391)
Tb (0.9228, 0.9228, 0.9228)
Tm (0.5000, 0.5000, 0.5000)

Top 10 peaks for 2θ from 10° to 90°, sorted by position:
2θ 30.1, I = 49; 2θ 30.8, I = 77; 2θ 31.0, I = 100; 2θ 31.6, I = 55; 2θ 32.0, I = 20; 2θ 36.2, I = 26; 2θ 52.0, I = 16; 2θ 52.8, I = 16; 2θ 54.5, I = 18; 2θ 59.2, I = 16


3.
The following is a simulated powder diffractogram of NaNd4In3. It was derived from the GGA-PBE geometry in Alexandria, using Cu Kα X-rays.
No peak broadening, texture or thermal motion is included.

Unit cell a=5.4109 b=5.4109 c=16.2193 alpha=90.00 beta=90.00 gamma=90.00
Fractional positions:
Na (0.0000, 0.0000, 0.0000)
Na (0.5000, 0.5000, 0.5000)
Nd (0.0000, 0.5000, 0.1287)
Nd (0.0000, 0.5000, 0.3713)
Nd (0.0000, 0.5000, 0.6287)
Nd (0.0000, 0.5000, 0.8713)
Nd (0.5000, 0.0000, 0.1287)
Nd (0.5000, 0.0000, 0.3713)
Nd (0.5000, 0.0000, 0.6287)
Nd (0.5000, 0.0000, 0.8713)
In (0.0000, 0.0000, 0.2471)
In (0.0000, 0.0000, 0.5000)
In (0.0000, 0.0000, 0.7529)
In (0.5000, 0.5000, 0.0000)
In (0.5000, 0.5000, 0.2529)
In (0.5000, 0.5000, 0.7471)

Top 10 peaks for 2θ from 10° to 90°, sorted by position:
2θ 23.3, I = 8; 2θ 32.2, I = 100; 2θ 33.1, I = 46; 2θ 44.7, I = 10; 2θ 47.5, I = 17; 2θ 56.7, I = 19; 2θ 58.6, I = 35; 2θ 67.3, I = 12; 2θ 74.4, I = 9; 2θ 79.2, I = 8


4.
The following is a simulated powder diffractogram of Rb2Tl6Cd3. It was derived from the GGA-PBE geometry in Alexandria, using Cu Kα X-rays.
No peak broadening, texture or thermal motion is included.

Unit cell a=9.4078 b=9.4078 c=5.0037 alpha=90.00 beta=90.00 gamma=120.00
Fractional positions:
Rb (0.3333, 0.6667, 0.0000)
Rb (0.6667, 0.3333, 0.0000)
Tl (0.0000, 0.1962, 0.0000)
Tl (0.0000, 0.7060, 0.5000)
Tl (0.1962, 0.0000, 0.0000)
Tl (0.2940, 0.2940, 0.5000)
Tl (0.7060, 0.0000, 0.5000)
Tl (0.8038, 0.8038, 0.0000)
Cd (0.0000, 0.3786, 0.5000)
Cd (0.3786, 0.0000, 0.5000)
Cd (0.6214, 0.6214, 0.5000)

Top 10 peaks for 2θ from 10° to 90°, sorted by position:
2θ 10.9, I = 43; 2θ 26.0, I = 87; 2θ 29.0, I = 22; 2θ 33.0, I = 27; 2θ 34.2, I = 100; 2θ 35.9, I = 33; 2θ 37.7, I = 36; 2θ 39.9, I = 17; 2θ 54.8, I = 38; 2θ 63.4, I = 17


5.
The following is a simulated powder diffractogram of Pr3Sm3ErZn2. It was derived from the GGA-PBE geometry in Alexandria, using Cu Kα X-rays.
No peak broadening, texture or thermal motion is included.

Unit cell a=9.2423 b=9.2423 c=3.6728 alpha=90.00 beta=90.00 gamma=120.00
Fractional positions:
Pr (0.0000, 0.6864, 0.0000)
Pr (0.3136, 0.3136, 0.0000)
Pr (0.6864, 0.0000, 0.0000)
Sm (0.0000, 0.3749, 0.5000)
Sm (0.3749, 0.0000, 0.5000)
Sm (0.6251, 0.6251, 0.5000)
Er (0.0000, 0.0000, 0.5000)
Zn (0.3333, 0.6667, 0.0000)
Zn (0.6667, 0.3333, 0.0000)

Top 10 peaks for 2θ from 10° to 90°, sorted by position:
2θ 29.5, I = 13; 2θ 31.1, I = 100; 2θ 33.1, I = 32; 2θ 33.6, I = 90; 2θ 38.6, I = 15; 2θ 46.4, I = 27; 2θ 49.6, I = 16; 2θ 56.0, I = 21; 2θ 58.5, I = 19; 2θ 61.3, I = 37


6.
The following is a simulated powder diffractogram of Er2Cu5Pt4. It was derived from the GGA-PBE geometry in Alexandria, using Cu Kα X-rays.
No peak broadening, texture or thermal motion is included.

Unit cell a=9.5567 b=8.8729 c=5.0655 alpha=81.65 beta=66.72 gamma=31.63
Fractional positions:
Er (0.1361, 0.1361, 0.8639)
Er (0.8639, 0.8639, 0.1361)
Cu (0.0000, 0.0000, 0.5000)
Cu (0.2500, 0.2500, 0.2500)
Cu (0.5000, 0.5000, 0.0000)
Cu (0.5000, 0.5000, 0.5000)
Cu (0.7500, 0.7500, 0.7500)
Pt (0.2087, 0.5377, 0.4623)
Pt (0.4623, 0.7913, 0.2087)
Pt (0.5377, 0.2087, 0.7913)
Pt (0.7913, 0.4623, 0.5377)

Top 10 peaks for 2θ from 10° to 90°, sorted by position:
2θ 20.9, I = 79; 2θ 35.1, I = 32; 2θ 35.8, I = 71; 2θ 39.0, I = 100; 2θ 41.2, I = 88; 2θ 42.6, I = 46; 2θ 44.6, I = 43; 2θ 52.2, I = 37; 2θ 65.6, I = 22; 2θ 71.5, I = 21


Q: Which formula does entry 2 have?
A: La6Tb8Tm